No. 1
For Pm5ErTm6, a PBE-relaxed structure gives the calculated PXRD pattern in this record (Cu Kα (weighted mean of Kα1 and Kα2)).
Lines closer than 0.1° are merged.

Structure:
Cell lengths 5.051, 9.967, 15.157 Å; angles 90.00, 90.00, 90.00 degrees
Space group Immm (No. 71)
Symmetry-distinct sites (fractional):
Pm (0.000, 0.000, 0.000) x2
Pm (0.000, 0.000, 0.335) x4
Pm (0.000, 0.500, 0.333) x4
Er (0.000, 0.500, 0.000) x2
Tm (0.000, 0.249, 0.500) x4
Tm (0.000, 0.251, 0.166) x8

Main lines, by intensity (2θ from 15° to 90°):
d 2.903, 30.8 deg, I = 1000, hkl 1 2 3
d 2.526, 35.5 deg, I = 342, hkl 2 0 0
d 1.521, 60.9 deg, I = 289, hkl 3 2 3
d 1.774, 51.5 deg, I = 239, hkl 2 4 0
d 2.492, 36.0 deg, I = 165, hkl 0 4 0
d 1.506, 61.6 deg, I = 140, hkl 1 6 3

***

No. 2
For PmEr4Tm5, a PBE-relaxed structure gives the calculated PXRD pattern in this record (Cu Kα (weighted mean of Kα1 and Kα2)).
Lines closer than 0.1° are merged.

Structure:
Cell lengths 3.520, 9.283, 9.902 Å; angles 105.51, 90.06, 100.92 degrees
Space group P-1 (No. 2)
Symmetry-distinct sites (fractional):
Pm (0.000, 0.000, 0.000) x1
Er (0.399, 0.798, 0.201) x2
Er (0.399, 0.798, 0.698) x2
Tm (0.000, 0.000, 0.500) x1
Tm (0.200, 0.400, 0.600) x2
Tm (0.201, 0.402, 0.101) x2

Main lines, by intensity (2θ from 15° to 90°):
d 2.867, 31.2 deg, I = 1000, hkl 1 0 -2
d 2.485, 36.1 deg, I = 451, hkl 1 2 0
d 1.754, 52.2 deg, I = 398, hkl 1 1 4
d 2.861, 31.3 deg, I = 331, hkl 0 2 2
d 1.496, 62.0 deg, I = 236, hkl 1 4 2
d 2.475, 36.3 deg, I = 223, hkl 0 1 -4

***

No. 3
For Pm5Er2Tm6, a PBE-relaxed structure gives the calculated PXRD pattern in this record (Cu Kα (weighted mean of Kα1 and Kα2)).
Lines closer than 0.1° are merged.

Structure:
Cell lengths 11.549, 20.365, 3.565 Å; angles 90.00, 90.00, 90.00 degrees
Space group Pbam (No. 55)
Symmetry-distinct sites (fractional):
Pm (0.000, 0.000, 0.000) x2
Pm (0.083, 0.272, 0.000) x4
Pm (0.198, 0.550, 0.000) x4
Er (0.171, 0.710, 0.500) x4
Tm (0.062, 0.418, 0.500) x4
Tm (0.081, 0.131, 0.500) x4
Tm (0.175, 0.861, 0.000) x4

Main lines, by intensity (2θ from 15° to 90°):
d 2.769, 32.3 deg, I = 1000, hkl 2 3 1
d 2.859, 31.3 deg, I = 689, hkl 4 1 0
d 2.821, 31.7 deg, I = 648, hkl 1 7 0
d 2.831, 31.6 deg, I = 573, hkl 1 4 1
d 2.606, 34.4 deg, I = 397, hkl 2 4 1
d 2.441, 36.8 deg, I = 376, hkl 3 3 1

***

No. 4
For Pm3Er7Tm, a PBE-relaxed structure gives the calculated PXRD pattern in this record (Cu Kα (weighted mean of Kα1 and Kα2)).
Lines closer than 0.1° are merged.

Structure:
Cell lengths 5.804, 11.082, 11.149 Å; angles 90.00, 90.00, 90.00 degrees
Space group Immm (No. 71)
Symmetry-distinct sites (fractional):
Pm (0.000, 0.000, 0.000) x2
Pm (0.000, 0.500, 0.287) x4
Er (0.000, 0.205, 0.198) x8
Er (0.000, 0.293, 0.500) x4
Er (0.000, 0.500, 0.000) x2
Tm (0.000, 0.000, 0.500) x2

Main lines, by intensity (2θ from 15° to 90°):
d 2.723, 32.9 deg, I = 1000, hkl 1 2 3
d 2.902, 30.8 deg, I = 409, hkl 2 0 0
d 1.639, 56.1 deg, I = 220, hkl 3 2 3
d 2.771, 32.3 deg, I = 168, hkl 0 4 0
d 2.787, 32.1 deg, I = 158, hkl 0 0 4
d 2.004, 45.3 deg, I = 133, hkl 2 4 0